This entry pairs a crystal structure of USb with its simulated X-ray powder pattern. Radiation: Cu Kα. Structure: a structure optimized by DFT (PBE).
Peak positions follow from Bragg's law for the DFT cell and can differ from measured ones.

Main lines, in order of rising 2θ (10 to 80 degrees two-theta):
2θ/deg, d_spacing, intensity, h k l
24.9, 3.579, 17.0, 1 1 1
28.8, 3.100, 100.0, 2 0 0
41.2, 2.192, 77.3, 2 2 0
51.0, 1.790, 27.9, 2 2 2
67.6, 1.386, 36.7, 4 2 0
75.1, 1.265, 27.6, 4 2 2

Structure:
```
data_USb
_cell_length_a 6.1994
_cell_length_b 6.1994
_cell_length_c 6.1994
_cell_angle_alpha 90.00
_cell_angle_beta 90.00
_cell_angle_gamma 90.00
_space_group_name_H-M_alt 'F m -3 m'
_space_group_IT_number 225
_space_group_name_Hall '-F 4 2 3'
loop_
_atom_site_label
_atom_site_fract_x
_atom_site_fract_y
_atom_site_fract_z
U1 0.0000 0.0000 0.0000
Sb1 0.0000 0.0000 0.5000
```